Diffraction record for Ce3Th3In5. The PXRD pattern is calculated, not measured: it uses DFT lattice parameters and positions (GGA-PBE) and CuKα.
Neutral-atom scattering factors, no anomalous dispersion.

Main lines, by intensity (10° ≤ 2θ ≤ 90°):
hkl 1 0 3, 2θ 32.47, I 100
hkl 2 0 0, 2θ 31.48, I 79
hkl 1 2 0, 2θ 32.66, I 64
hkl 1 -2 1, 2θ 35.84, I 48
hkl 1 0 -3, 2θ 37.72, I 36
hkl 0 2 2, 2θ 30.39, I 35
hkl 0 1 -2, 2θ 28.28, I 33
hkl -1 1 1, 2θ 23.04, I 31

Structural model:
```
data_Ce3Th3In5
_symmetry_space_group_name_H-M 'P 1'
_symmetry_Int_Tables_number 1
_cell_length_a 5.7867
_cell_length_b 6.5226
_cell_length_c 9.0678
_cell_angle_alpha 73.84
_cell_angle_beta 79.22
_cell_angle_gamma 87.14
loop_
_symmetry_equiv_pos_as_xyz
'x,y,z'
loop_
_atom_site_label
_atom_site_type_symbol
_atom_site_fract_x
_atom_site_fract_y
_atom_site_fract_z
_atom_site_occupancy
Ce1 Ce 0.0000 0.0000 0.0000 1
Ce2 Ce 0.0274 0.0497 0.2859 1
Ce3 Ce 0.5598 0.1865 0.0088 1
Th1 Th 0.3983 0.2874 0.5069 1
Th2 Th 0.4795 0.6424 0.1477 1
Th3 Th 0.9750 0.6797 0.6600 1
In1 In 0.0390 0.4797 0.0100 1
In2 In 0.4464 0.8360 0.7865 1
In3 In 0.5086 0.8275 0.4392 1
In4 In 0.8633 0.1800 0.6572 1
In5 In 0.9308 0.5389 0.3386 1
```

Diffraction record for Ac2Si7Tc12. The PXRD pattern is calculated, not measured: it uses DFT lattice parameters and positions (GGA-PBE) and CuKα.
Neutral-atom scattering factors, no anomalous dispersion.

Main lines, by intensity (10° ≤ 2θ ≤ 90°):
hkl 2 1 1, 2θ 35.45, I 100
hkl 3 1 1, 2θ 44.27, I 24
hkl 0 0 2, 2θ 44.05, I 23
hkl 1 0 1, 2θ 24.04, I 23
hkl 2 2 0, 2θ 36.61, I 23
hkl 2 1 0, 2θ 27.76, I 22
hkl 1 3 0, 2θ 38.16, I 16
hkl 2 2 2, 2θ 58.57, I 12

Structural model:
```
data_Ac2Si7Tc12
_symmetry_space_group_name_H-M 'P -6'
_symmetry_Int_Tables_number 174
_cell_length_a 9.8194
_cell_length_b 9.8194
_cell_length_c 4.1116
_cell_angle_alpha 90.00
_cell_angle_beta 90.00
_cell_angle_gamma 120.00
loop_
_symmetry_equiv_pos_as_xyz
'x,y,z'
'-x+y,-x,-z'
'-y,x-y,z'
'x,y,-z'
'-x+y,-x,z'
'-y,x-y,-z'
loop_
_atom_site_label
_atom_site_type_symbol
_atom_site_fract_x
_atom_site_fract_y
_atom_site_fract_z
_atom_site_occupancy
Ac1 Ac 0.0000 0.0000 0.0000 1
Ac2 Ac 0.3333 0.6667 0.5000 1
Si1 Si 0.0438 0.4696 0.0000 1
Si2 Si 0.2786 0.2149 0.5000 1
Si3 Si 0.6667 0.3333 0.0000 1
Tc1 Tc 0.0695 0.3069 0.5000 1
Tc2 Tc 0.1162 0.7570 0.0000 1
Tc3 Tc 0.3896 0.1830 0.0000 1
Tc4 Tc 0.5605 0.4324 0.5000 1
```

Diffraction record for CeSc2Tl2. The PXRD pattern is calculated, not measured: it uses DFT lattice parameters and positions (GGA-PBE) and CuKα.
Neutral-atom scattering factors, no anomalous dispersion.

Main lines, by intensity (10° ≤ 2θ ≤ 90°):
hkl 1 1 0, 2θ 36.00, I 100
hkl 1 0 3, 2θ 30.25, I 82
hkl 1 0 1, 2θ 21.83, I 64
hkl 1 0 4, 2θ 36.16, I 64
hkl 2 0 3, 2θ 47.72, I 24
hkl 2 1 4, 2θ 64.83, I 23
hkl 2 0 4, 2θ 51.95, I 23
hkl 2 1 3, 2θ 61.20, I 22

Structural model:
```
data_CeSc2Tl2
_symmetry_space_group_name_H-M 'P 63/m m c'
_symmetry_Int_Tables_number 194
_symmetry_space_group_name_Hall '-P 6c 2c'
_cell_length_a 4.9893
_cell_length_b 4.9893
_cell_length_c 12.1436
_cell_angle_alpha 90.00
_cell_angle_beta 90.00
_cell_angle_gamma 120.00
loop_
_atom_site_label
_atom_site_type_symbol
_atom_site_fract_x
_atom_site_fract_y
_atom_site_fract_z
_atom_site_occupancy
Ce1 Ce 0.0000 0.0000 0.2500 1
Sc1 Sc 0.0000 0.0000 0.0000 1
Sc2 Sc 0.3333 0.6667 0.2500 1
Tl1 Tl 0.3333 0.6667 0.6163 1
```

Diffraction record for Cs2Na4GaGe2. The PXRD pattern is calculated, not measured: it uses DFT lattice parameters and positions (GGA-PBE) and CuKα.
Neutral-atom scattering factors, no anomalous dispersion.

Main lines, by intensity (10° ≤ 2θ ≤ 90°):
hkl 0 2 0, 2θ 21.04, I 100
hkl 2 2 -1, 2θ 27.77, I 83
hkl 0 2 1, 2θ 27.65, I 71
hkl 2 0 -2, 2θ 33.71, I 59
hkl 2 0 -1, 2θ 17.92, I 55
hkl 0 0 1, 2θ 17.74, I 48
hkl 2 2 1, 2θ 32.98, I 48
hkl 4 2 -1, 2θ 33.28, I 43

Structural model:
```
data_Cs2Na4GaGe2
_symmetry_space_group_name_H-M 'C 1 2/m 1'
_symmetry_Int_Tables_number 12
_cell_length_a 14.9876
_cell_length_b 8.4444
_cell_length_c 5.3186
_cell_angle_alpha 90.00
_cell_angle_beta 109.92
_cell_angle_gamma 90.00
loop_
_symmetry_equiv_pos_as_xyz
'x,y,z'
'-x,-y,-z'
'-x,y,-z'
'x,-y,z'
'x+1/2,y+1/2,z'
'-x+1/2,-y+1/2,-z'
'-x+1/2,y+1/2,-z'
'x+1/2,-y+1/2,z'
loop_
_atom_site_label
_atom_site_type_symbol
_atom_site_fract_x
_atom_site_fract_y
_atom_site_fract_z
_atom_site_occupancy
Cs1 Cs 0.1371 0.0000 0.1439 1
Na1 Na 0.1311 0.3124 0.6377 1
Ga1 Ga 0.0000 0.5000 0.0000 1
Ge1 Ge 0.1727 0.5000 0.1782 1
```

Diffraction record for RbBa2U3S8. The PXRD pattern is calculated, not measured: it uses DFT lattice parameters and positions (GGA-PBE) and CuKα.
Neutral-atom scattering factors, no anomalous dispersion.

Main lines, by intensity (10° ≤ 2θ ≤ 90°):
hkl 1 1 3, 2θ 24.31, I 100
hkl 0 2 4, 2θ 29.26, I 80
hkl 0 2 1, 2θ 24.83, I 78
hkl 0 0 3, 2θ 11.79, I 72
hkl 2 0 8, 2θ 40.54, I 67
hkl 2 2 0, 2θ 43.14, I 65
hkl 0 2 7, 2θ 37.33, I 51
hkl 2 0 2, 2θ 25.77, I 47

Structural model:
```
data_RbBa2U3S8
_symmetry_space_group_name_H-M 'R 3 m'
_symmetry_Int_Tables_number 160
_symmetry_space_group_name_Hall 'R 3 -2"'
_cell_length_a 8.3887
_cell_length_b 8.3887
_cell_length_c 22.5270
_cell_angle_alpha 90.00
_cell_angle_beta 90.00
_cell_angle_gamma 120.00
loop_
_atom_site_label
_atom_site_type_symbol
_atom_site_fract_x
_atom_site_fract_y
_atom_site_fract_z
_atom_site_occupancy
Rb1 Rb 0.0000 0.0000 0.0000 1
Ba1 Ba 0.0000 0.0000 0.3663 1
Ba2 Ba 0.0000 0.0000 0.7417 1
U1 U 0.0026 0.5013 0.8685 1
S1 S 0.0000 0.0000 0.1406 1
S2 S 0.0000 0.0000 0.5994 1
S3 S 0.0358 0.5179 0.1346 1
S4 S 0.1856 0.3712 0.9319 1
```

Diffraction record for ErH6Pd7. The PXRD pattern is calculated, not measured: it uses DFT lattice parameters and positions (GGA-PBE) and CuKα.
Neutral-atom scattering factors, no anomalous dispersion.

Main lines, by intensity (10° ≤ 2θ ≤ 90°):
hkl 0 0 9, 2θ 37.63, I 100
hkl 1 1 6, 2θ 43.73, I 50
hkl 1 1 15, 2θ 76.28, I 37
hkl 3 0 0, 2θ 63.56, I 32
hkl 4 -2 6, 2θ 80.34, I 11
hkl 1 0 1, 2θ 20.64, I 9
hkl 0 1 2, 2θ 21.86, I 8
hkl 1 0 4, 2θ 26.20, I 5

Structural model:
```
data_ErH6Pd7
_symmetry_space_group_name_H-M 'R 3'
_symmetry_Int_Tables_number 146
_symmetry_space_group_name_Hall 'R 3'
_cell_length_a 5.0723
_cell_length_b 5.0723
_cell_length_c 21.4956
_cell_angle_alpha 90.00
_cell_angle_beta 90.00
_cell_angle_gamma 120.00
loop_
_atom_site_label
_atom_site_type_symbol
_atom_site_fract_x
_atom_site_fract_y
_atom_site_fract_z
_atom_site_occupancy
Er1 Er 0.0000 0.0000 0.0000 1
H1 H 0.0016 0.3413 0.9212 1
H2 H 0.0068 0.6810 0.4111 1
Pd1 Pd 0.0000 0.0000 0.6664 1
Pd2 Pd 0.9998 0.3348 0.4439 1
Pd3 Pd 0.9998 0.6673 0.2222 1
```